For Ag4SbTe4, the GGA-PBE geometry in Alexandria gives the theoretical powder X-ray diffraction pattern in this record (a wavelength of 1.5418 Å).

Most intense lines, 15° ≤ 2θ ≤ 90°, in order of rising 2θ:
5.609 Å, I 20
3.766 Å, I 52
3.112 Å, I 100
2.757 Å, I 77
2.712 Å, I 53
2.218 Å, I 78
2.137 Å, I 37
2.110 Å, I 58
2.053 Å, I 31
1.678 Å, I 25
1.480 Å, I 21
1.249 Å, I 18

```
data_Ag4SbTe4
_symmetry_space_group_name_H-M 'C 1 2/m 1'
_symmetry_Int_Tables_number 12
_cell_length_a 14.2695
_cell_length_b 4.2735
_cell_length_c 11.0306
_cell_angle_alpha 90.00
_cell_angle_beta 128.18
_cell_angle_gamma 90.00
loop_
_symmetry_equiv_pos_as_xyz
'x,y,z'
'-x,-y,-z'
'-x,y,-z'
'x,-y,z'
'x+1/2,y+1/2,z'
'-x+1/2,-y+1/2,-z'
'-x+1/2,y+1/2,-z'
'x+1/2,-y+1/2,z'
loop_
_atom_site_label
_atom_site_fract_x
_atom_site_fract_y
_atom_site_fract_z
Ag1 0.1687 0.0000 0.3965
Ag2 0.1772 0.5000 0.8076
Sb1 0.0000 0.5000 0.0000
Te1 0.0711 0.0000 0.8658
Te2 0.2394 0.0000 0.6975
```